Theoretical PXRD pattern of TmAl6Cu6 for CuKα, from the GGA-PBE geometry in the Materials Project.
Kinematic intensities with the Lorentz-polarization factor, no thermal factor.

Main lines, by angle (10° ≤ 2θ ≤ 90°):
d 6.073, I = 55; d 3.053, I = 61; d 3.036, I = 29; d 2.186, I = 73; d 2.178, I = 35; d 2.161, I = 100; d 2.151, I = 40; d 2.133, I = 40; d 1.945, I = 31; d 1.527, I = 35

```
data_TmAl6Cu6
_symmetry_space_group_name_H-M 'P 1'
_symmetry_Int_Tables_number 1
_cell_length_a 6.5805
_cell_length_b 6.5805
_cell_length_c 6.5805
_cell_angle_alpha 134.72
_cell_angle_beta 99.19
_cell_angle_gamma 97.85
loop_
_symmetry_equiv_pos_as_xyz
'x,y,z'
loop_
_atom_site_label
_atom_site_type_symbol
_atom_site_fract_x
_atom_site_fract_y
_atom_site_fract_z
Tm1 Tm 0.0000 0.0000 0.0000
Al1 Al 0.2032 0.7032 0.5000
Al2 Al 0.3454 0.0000 0.3454
Al3 Al 0.3485 0.3485 0.0000
Al4 Al 0.6515 0.6515 0.0000
Al5 Al 0.6546 0.0000 0.6546
Al6 Al 0.7968 0.2968 0.5000
Cu1 Cu 0.0000 0.0000 0.5000
Cu2 Cu 0.0000 0.5000 0.0000
Cu3 Cu 0.2264 0.5000 0.7264
Cu4 Cu 0.5000 0.0000 0.0000
Cu5 Cu 0.5000 0.5000 0.5000
Cu6 Cu 0.7736 0.5000 0.2736
```